# 1
Simulated XRD peak list
Compound: TiAl3V12
Radiation: Cu Kα (λ = 1.5418 Å)
Structure: a DFT-relaxed cell (PBE, Alexandria)
Peak positions follow from Bragg's law for the DFT cell and can differ from measured ones.

Top 8 peaks for 15 to 90 degrees two-theta, in order of falling intensity:
Position (°2θ), d_spacing, Rel. int.
42.11, 2.146, 100
41.55, 2.173, 90
45.85, 1.979, 49
46.20, 1.965, 44
46.35, 1.959, 42
42.25, 2.139, 40
41.90, 2.156, 40
67.30, 1.391, 26

Atomic structure:
a = 4.7768 Å, b = 4.8764 Å, c = 9.6147 Å
α = 90.00°, β = 90.00°, γ = 90.00°
Fractional coordinates of all 16 atoms:
Ti: 0.0000 0.0000 0.0000
Al: 0.0000 0.0000 0.5000
Al: 0.5000 0.5000 0.2512
Al: 0.5000 0.5000 0.7488
V: 0.0000 0.2466 0.2516
V: 0.0000 0.2466 0.7484
V: 0.0000 0.7534 0.2516
V: 0.0000 0.7534 0.7484
V: 0.2407 0.5000 0.5000
V: 0.2476 0.5000 0.0000
V: 0.5000 0.0000 0.1296
V: 0.5000 0.0000 0.3755
V: 0.5000 0.0000 0.6245
V: 0.5000 0.0000 0.8704
V: 0.7524 0.5000 0.0000
V: 0.7593 0.5000 0.5000

***

# 2
Simulated XRD peak list
Compound: Ho3Er7In2
Radiation: Cu Kα (λ = 1.5418 Å)
Structure: a DFT-relaxed cell (PBE, Alexandria)
Peak positions follow from Bragg's law for the DFT cell and can differ from measured ones.

Top 8 peaks for 15 to 90 degrees two-theta, in order of falling intensity:
Position (°2θ), d_spacing, Rel. int.
31.80, 2.814, 100
32.41, 2.763, 55
32.91, 2.722, 33
35.31, 2.542, 29
32.73, 2.736, 27
29.43, 3.035, 26
31.92, 2.803, 24
31.13, 2.873, 22

Atomic structure:
a = 5.5440 Å, b = 3.5580 Å, c = 18.2487 Å
α = 90.00°, β = 93.67°, γ = 90.00°
Fractional coordinates of all 12 atoms:
Ho: 0.0000 0.0000 0.0000
Ho: 0.2776 0.5000 0.6331
Ho: 0.7224 0.5000 0.3669
Er: 0.1675 0.5000 0.1473
Er: 0.2413 0.0000 0.4586
Er: 0.3295 0.0000 0.8276
Er: 0.5000 0.5000 0.0000
Er: 0.6705 0.0000 0.1724
Er: 0.7587 0.0000 0.5414
Er: 0.8325 0.5000 0.8527
In: 0.2026 0.0000 0.2918
In: 0.7974 0.0000 0.7082

***

# 3
Simulated XRD peak list
Compound: Ce4HSe3
Radiation: Cu Kα (λ = 1.5418 Å)
Structure: a DFT-relaxed cell (PBE, Alexandria)
Peak positions follow from Bragg's law for the DFT cell and can differ from measured ones.

Top 8 peaks for 15 to 90 degrees two-theta, in order of falling intensity:
Position (°2θ), d_spacing, Rel. int.
30.78, 2.905, 100
44.08, 2.054, 49
72.79, 1.299, 21
26.71, 3.338, 15
26.44, 3.371, 15
55.03, 1.669, 13
54.43, 1.686, 13
43.75, 2.069, 12

Atomic structure:
a = 7.1355 Å, b = 7.1355 Å, c = 4.0765 Å
α = 90.00°, β = 90.00°, γ = 109.10°
Fractional coordinates of all 8 atoms:
Ce: 0.2362 0.2362 0.5000
Ce: 0.2439 0.7561 0.0000
Ce: 0.7561 0.2439 0.0000
Ce: 0.7638 0.7638 0.5000
H: 0.0000 0.0000 0.0000
Se: 0.0000 0.5000 0.5000
Se: 0.5000 0.0000 0.5000
Se: 0.5000 0.5000 0.0000

***

# 4
Simulated XRD peak list
Compound: La5Sm3As8
Radiation: Cu Kα (λ = 1.5418 Å)
Structure: a DFT-relaxed cell (PBE, Alexandria)
Peak positions follow from Bragg's law for the DFT cell and can differ from measured ones.

Top 8 peaks for 15 to 90 degrees two-theta, in order of falling intensity:
Position (°2θ), d_spacing, Rel. int.
29.26, 3.053, 100
41.85, 2.159, 75
68.76, 1.365, 34
51.88, 1.762, 27
76.43, 1.246, 25
25.27, 3.525, 16
60.67, 1.526, 12
49.52, 1.841, 8

Atomic structure:
a = 8.6347 Å, b = 8.6347 Å, c = 8.6347 Å
α = 59.99°, β = 59.99°, γ = 59.99°
Fractional coordinates of all 16 atoms:
La: 0.0000 0.0000 0.0000
La: 0.0000 0.5000 0.5000
La: 0.5000 0.0000 0.5000
La: 0.5000 0.5000 0.0000
La: 0.5000 0.5000 0.5000
Sm: 0.0000 0.0000 0.5000
Sm: 0.0000 0.5000 0.0000
Sm: 0.5000 0.0000 0.0000
As: 0.2448 0.7500 0.7500
As: 0.2476 0.2476 0.2476
As: 0.2500 0.2500 0.7552
As: 0.2500 0.7552 0.2500
As: 0.7500 0.2448 0.7500
As: 0.7500 0.7500 0.2448
As: 0.7524 0.7524 0.7524
As: 0.7552 0.2500 0.2500

***

# 5
Simulated XRD peak list
Compound: Th7Sb2C2
Radiation: Cu Kα (λ = 1.5418 Å)
Structure: a DFT-relaxed cell (PBE, Alexandria)
Peak positions follow from Bragg's law for the DFT cell and can differ from measured ones.

Top 8 peaks for 15 to 90 degrees two-theta, in order of falling intensity:
Position (°2θ), d_spacing, Rel. int.
31.34, 2.855, 100
27.41, 3.254, 81
32.77, 2.733, 44
33.14, 2.703, 44
29.23, 3.055, 44
34.54, 2.597, 33
52.74, 1.736, 30
52.91, 1.731, 24

Atomic structure:
a = 7.0000 Å, b = 7.0000 Å, c = 8.0261 Å
α = 96.44°, β = 96.44°, γ = 109.47°
Fractional coordinates of all 11 atoms:
Th: 0.0000 0.0000 0.0000
Th: 0.0902 0.4884 0.7992
Th: 0.4104 0.4104 0.1931
Th: 0.4884 0.0902 0.7992
Th: 0.5116 0.9098 0.2008
Th: 0.5896 0.5896 0.8069
Th: 0.9098 0.5116 0.2008
Sb: 0.2992 0.7008 0.5000
Sb: 0.7008 0.2992 0.5000
C: 0.2867 0.2867 0.8898
C: 0.7133 0.7133 0.1102

***

# 6
Simulated XRD peak list
Compound: Ac8Al2In
Radiation: Cu Kα (λ = 1.5418 Å)
Structure: a DFT-relaxed cell (PBE, Alexandria)
Peak positions follow from Bragg's law for the DFT cell and can differ from measured ones.

Top 8 peaks for 15 to 90 degrees two-theta, in order of falling intensity:
Position (°2θ), d_spacing, Rel. int.
30.06, 2.973, 100
32.85, 2.726, 28
29.25, 3.053, 24
28.74, 3.106, 22
33.62, 2.666, 20
23.34, 3.812, 18
56.93, 1.617, 17
47.72, 1.906, 16

Atomic structure:
a = 9.6928 Å, b = 9.6928 Å, c = 9.6928 Å
α = 147.33°, β = 121.31°, γ = 68.81°
Fractional coordinates of all 11 atoms:
Ac: 0.1194 0.3399 0.7795
Ac: 0.1449 0.1449 0.0000
Ac: 0.3181 0.0000 0.3181
Ac: 0.4396 0.6601 0.7795
Ac: 0.5604 0.3399 0.2205
Ac: 0.6819 0.0000 0.6819
Ac: 0.8551 0.8551 0.0000
Ac: 0.8806 0.6601 0.2205
Al: 0.3069 0.8069 0.5000
Al: 0.6931 0.1931 0.5000
In: 0.0000 0.5000 0.5000

***

# 7
Simulated XRD peak list
Compound: Pr4Er15In
Radiation: Cu Kα (λ = 1.5418 Å)
Structure: a DFT-relaxed cell (PBE, Alexandria)
Peak positions follow from Bragg's law for the DFT cell and can differ from measured ones.

Top 8 peaks for 15 to 90 degrees two-theta, in order of falling intensity:
Position (°2θ), d_spacing, Rel. int.
31.04, 2.881, 100
36.10, 2.488, 34
61.78, 1.502, 28
51.73, 1.767, 23
35.77, 2.510, 17
61.35, 1.511, 13
51.98, 1.759, 12
64.70, 1.441, 12

Atomic structure:
a = 4.9761 Å, b = 4.9761 Å, c = 25.1014 Å
α = 90.00°, β = 90.00°, γ = 90.00°
Fractional coordinates of all 20 atoms:
Pr: 0.0000 0.0000 0.1016
Pr: 0.0000 0.0000 0.3024
Pr: 0.0000 0.0000 0.6976
Pr: 0.0000 0.0000 0.8984
Er: 0.0000 0.5000 0.0000
Er: 0.0000 0.5000 0.2023
Er: 0.0000 0.5000 0.4048
Er: 0.0000 0.5000 0.5952
Er: 0.0000 0.5000 0.7977
Er: 0.5000 0.0000 0.0000
Er: 0.5000 0.0000 0.2023
Er: 0.5000 0.0000 0.4048
Er: 0.5000 0.0000 0.5952
Er: 0.5000 0.0000 0.7977
Er: 0.5000 0.5000 0.1016
Er: 0.5000 0.5000 0.3062
Er: 0.5000 0.5000 0.5000
Er: 0.5000 0.5000 0.6938
Er: 0.5000 0.5000 0.8984
In: 0.0000 0.0000 0.5000

***

# 8
Simulated XRD peak list
Compound: Th6TeRu2
Radiation: Cu Kα (λ = 1.5418 Å)
Structure: a DFT-relaxed cell (PBE, Alexandria)
Peak positions follow from Bragg's law for the DFT cell and can differ from measured ones.

Top 8 peaks for 15 to 90 degrees two-theta, in order of falling intensity:
Position (°2θ), d_spacing, Rel. int.
29.90, 2.989, 100
27.53, 3.240, 92
31.95, 2.802, 79
37.07, 2.425, 64
32.68, 2.741, 49
28.32, 3.151, 39
37.27, 2.412, 39
51.22, 1.784, 36

Atomic structure:
a = 9.4386 Å, b = 9.4386 Å, c = 6.9116 Å
α = 108.10°, β = 108.10°, γ = 68.23°
Fractional coordinates of all 18 atoms:
Th: 0.0157 0.3896 0.7338
Th: 0.0408 0.7906 0.8370
Th: 0.2094 0.9592 0.6630
Th: 0.3446 0.4434 0.5373
Th: 0.3896 0.0157 0.2338
Th: 0.4434 0.3446 0.0373
Th: 0.5566 0.6554 0.9627
Th: 0.6104 0.9843 0.7662
Th: 0.6554 0.5566 0.4627
Th: 0.7906 0.0408 0.3370
Th: 0.9592 0.2094 0.1630
Th: 0.9843 0.6104 0.2662
Te: 0.2949 0.7051 0.2500
Te: 0.7051 0.2949 0.7500
Ru: 0.1861 0.2899 0.0987
Ru: 0.2899 0.1861 0.5987
Ru: 0.7101 0.8139 0.4013
Ru: 0.8139 0.7101 0.9013

***

# 9
Simulated XRD peak list
Compound: K4Zr3FeS8
Radiation: Cu Kα (λ = 1.5418 Å)
Structure: a DFT-relaxed cell (PBE, Alexandria)
Peak positions follow from Bragg's law for the DFT cell and can differ from measured ones.

Top 8 peaks for 15 to 90 degrees two-theta, in order of falling intensity:
Position (°2θ), d_spacing, Rel. int.
31.81, 2.813, 100
42.83, 2.111, 33
48.25, 1.886, 30
58.96, 1.567, 15
28.49, 3.133, 14
39.67, 2.272, 13
79.54, 1.205, 12
24.13, 3.689, 10

Atomic structure:
a = 8.5676 Å, b = 8.5676 Å, c = 8.5676 Å
α = 52.25°, β = 52.25°, γ = 52.25°
Fractional coordinates of all 16 atoms:
K: 0.0000 0.0000 0.0000
K: 0.0000 0.5000 0.5000
K: 0.5000 0.0000 0.5000
K: 0.5000 0.5000 0.0000
Zr: 0.0000 0.0000 0.5000
Zr: 0.0000 0.5000 0.0000
Zr: 0.5000 0.0000 0.0000
Fe: 0.5000 0.5000 0.5000
S: 0.2338 0.2338 0.2338
S: 0.2344 0.7300 0.7300
S: 0.2700 0.2700 0.7656
S: 0.2700 0.7656 0.2700
S: 0.7300 0.2344 0.7300
S: 0.7300 0.7300 0.2344
S: 0.7656 0.2700 0.2700
S: 0.7662 0.7662 0.7662

***

# 10
Simulated XRD peak list
Compound: PaNb2Te4Se2
Radiation: Cu Kα (λ = 1.5418 Å)
Structure: a DFT-relaxed cell (PBE, Alexandria)
Peak positions follow from Bragg's law for the DFT cell and can differ from measured ones.

Top 8 peaks for 15 to 90 degrees two-theta, in order of falling intensity:
Position (°2θ), d_spacing, Rel. int.
33.95, 2.640, 100
27.26, 3.272, 61
48.18, 1.889, 50
42.54, 2.125, 43
31.69, 2.824, 35
39.43, 2.286, 29
29.82, 2.996, 28
71.07, 1.326, 26

Atomic structure:
a = 3.7778 Å, b = 3.7778 Å, c = 22.3592 Å
α = 90.00°, β = 90.00°, γ = 120.00°
Fractional coordinates of all 9 atoms:
Pa: 0.0000 0.0000 0.0000
Nb: 0.0000 0.0000 0.6530
Nb: 0.6667 0.3333 0.3289
Te: 0.0000 0.0000 0.2474
Te: 0.0000 0.0000 0.4100
Te: 0.6667 0.3333 0.5719
Te: 0.6667 0.3333 0.7346
Se: 0.6667 0.3333 0.0811
Se: 0.6667 0.3333 0.9190

***

# 11
Simulated XRD peak list
Compound: KNa
Radiation: Cu Kα (λ = 1.5418 Å)
Structure: a DFT-relaxed cell (PBE, Alexandria)
Peak positions follow from Bragg's law for the DFT cell and can differ from measured ones.

Top 8 peaks for 15 to 90 degrees two-theta, in order of falling intensity:
Position (°2θ), d_spacing, Rel. int.
26.13, 3.410, 100
25.72, 3.464, 87
30.24, 2.956, 28
28.60, 3.121, 28
17.44, 5.086, 25
33.81, 2.651, 22
19.38, 4.581, 21
46.07, 1.970, 19

Atomic structure:
a = 11.8254 Å, b = 10.7989 Å, c = 7.0351 Å
α = 80.04°, β = 64.09°, γ = 35.87°
Fractional coordinates of all 8 atoms:
K: 0.0397 0.7103 0.0397
K: 0.2897 0.9603 0.2897
K: 0.7103 0.0397 0.7103
K: 0.9603 0.2897 0.9603
Na: 0.2911 0.2911 0.4589
Na: 0.4589 0.4589 0.2911
Na: 0.5411 0.5411 0.7089
Na: 0.7089 0.7089 0.5411

***

# 12
Simulated XRD peak list
Compound: Tl2VHBr6
Radiation: Cu Kα (λ = 1.5418 Å)
Structure: a DFT-relaxed cell (PBE, Alexandria)
Peak positions follow from Bragg's law for the DFT cell and can differ from measured ones.

Top 8 peaks for 15 to 90 degrees two-theta, in order of falling intensity:
Position (°2θ), d_spacing, Rel. int.
31.58, 2.833, 100
32.62, 2.745, 81
28.49, 3.133, 70
34.13, 2.627, 56
15.16, 5.846, 47
20.58, 4.316, 47
26.23, 3.398, 38
35.39, 2.537, 34

Atomic structure:
a = 6.6922 Å, b = 11.4845 Å, c = 9.6493 Å
α = 90.00°, β = 119.13°, γ = 90.00°
Fractional coordinates of all 20 atoms:
Tl: 0.0649 0.2074 0.3978
Tl: 0.0649 0.2926 0.8978
Tl: 0.9351 0.7074 0.1022
Tl: 0.9351 0.7926 0.6022
V: 0.5000 0.0000 0.0000
V: 0.5000 0.5000 0.5000
H: 0.0000 0.0000 0.0000
H: 0.0000 0.5000 0.5000
Br: 0.1660 0.0532 0.7317
Br: 0.1660 0.4468 0.2317
Br: 0.2616 0.0513 0.1406
Br: 0.2616 0.4487 0.6406
Br: 0.3631 0.7095 0.4678
Br: 0.3631 0.7905 0.9678
Br: 0.6369 0.2095 0.0322
Br: 0.6369 0.2905 0.5322
Br: 0.7384 0.5513 0.3594
Br: 0.7384 0.9487 0.8594
Br: 0.8340 0.5532 0.7683
Br: 0.8340 0.9468 0.2683